Li4Mn5O9F: calculated powder X-ray diffraction pattern (copper Kα), based on a cell relaxed with GGA+U.

Most intense lines, 2θ from 10° to 90°, sorted by position:
| two_theta | Rel. int. |
| --- | --- |
| 17.90 | 100.0 |
| 32.99 | 19.0 |
| 36.14 | 23.6 |
| 36.30 | 7.5 |
| 36.88 | 6.7 |
| 39.20 | 28.9 |
| 44.08 | 41.7 |
| 45.94 | 8.3 |
| 57.83 | 6.9 |
| 60.45 | 23.7 |

Structure:
Cell lengths 5.177, 5.177, 14.094 Å; angles 104.98, 104.98, 32.24 degrees
Fractional positions:
Li  0.000  0.000  0.000
Li  0.189  0.189  0.426
Li  0.413  0.413  0.787
Li  0.587  0.587  0.203
Mn  0.125  0.125  0.712
Mn  0.294  0.294  0.117
Mn  0.474  0.474  0.516
Mn  0.708  0.708  0.912
Mn  0.876  0.876  0.321
O  0.071  0.071  0.864
O  0.241  0.241  0.273
O  0.340  0.340  0.967
O  0.492  0.492  0.659
O  0.509  0.509  0.381
O  0.656  0.656  0.071
O  0.757  0.757  0.764
O  0.844  0.844  0.473
O  0.927  0.927  0.171
F  0.125  0.125  0.548